This entry pairs a crystal structure of Sc5Ga3 with its theoretical X-ray diffraction stick pattern. Radiation: Cu Kα, 1.54184 Å. Structure: DFT lattice parameters and positions (GGA-PBE).

The 10 most intense peaks (5° ≤ 2θ ≤ 70°), low angle first:
d [Å]	2θ (°)	I/Imax
7.000	12.65	28
2.971	30.08	43
2.646	33.88	40
2.432	36.97	50
2.423	37.11	38
2.409	37.32	100
2.395	37.55	35
2.380	37.80	26
2.333	38.58	54
2.242	40.23	23

Structural model:
Cell: 8.085 8.085 5.944 Å, 90.70 90.70 120.01°
Sites, in units of the cell vectors:
Sc 0.149 0.851 0.000
Sc 0.183 0.817 0.500
Sc 0.258 0.496 0.757
Sc 0.267 0.267 0.260
Sc 0.496 0.258 0.757
Sc 0.504 0.742 0.243
Sc 0.733 0.733 0.740
Sc 0.742 0.504 0.243
Sc 0.817 0.183 0.500
Sc 0.851 0.149 0.000
Ga 0.095 0.095 0.697
Ga 0.098 0.502 0.217
Ga 0.498 0.902 0.783
Ga 0.502 0.098 0.217
Ga 0.902 0.498 0.783
Ga 0.905 0.905 0.303